The following is a calculated powder diffraction line list of Cs6RbP. It was derived from the PBE geometry in Alexandria, using CuKα.
Kinematic intensities with the Lorentz-polarization factor, no thermal factor.

Crystal structure
Unit cell a=10.238 b=10.238 c=18.117 alpha=101.51 beta=101.51 gamma=54.37
Atoms (fractional coordinates):
Cs  0.033  0.800  0.604
Cs  0.129  0.308  0.659
Cs  0.200  0.967  0.896
Cs  0.300  0.390  0.962
Cs  0.308  0.129  0.159
Cs  0.390  0.300  0.462
Cs  0.610  0.700  0.538
Cs  0.692  0.871  0.841
Cs  0.700  0.610  0.038
Cs  0.800  0.033  0.104
Cs  0.871  0.692  0.341
Cs  0.967  0.200  0.396
Rb  0.375  0.625  0.250
Rb  0.625  0.375  0.750
P  0.000  0.500  0.500
P  0.500  0.000  0.000

Main lines, by angle (2θ = 10–90°):
| 2θ (°) | intensity |
| --- | --- |
| 19.4 | 387 |
| 20.3 | 683 |
| 21.5 | 1000 |
| 21.8 | 866 |
| 22.0 | 871 |
| 33.4 | 343 |
| 36.3 | 408 |
| 36.7 | 205 |